Entry 1:
Computed X-ray powder pattern
Compound: CdInSbSe
Radiation: copper Kα
Structure: a DFT-relaxed cell (PBE, Alexandria)

Cell and atoms:
```
CdInSbSe
1.0
3.9513 -2.2813 0.0000
3.9513 2.2813 0.0000
-2.6366 0.0000 7.3699
Cd In Sb Se
1 1 1 1
Cartesian
0.0000 0.0000 0.0000
2.6209 0.0000 3.8110
-0.0134 0.0000 2.8279
2.6306 0.0000 6.4984
```

Peak list (6 most intense, 2θ from 5° to 70°, by intensity)
d_spacing  2θ/deg  intensity
3.721  23.92  100
2.281  39.50  53
2.265  39.80  51
3.685  24.15  32
1.940  46.84  32
1.607  57.33  17

---

Entry 2:
Computed X-ray powder pattern
Compound: CdIn2Sb2Se
Radiation: copper Kα
Structure: a DFT-relaxed cell (PBE, Alexandria)

Cell and atoms:
```
CdIn2Sb2Se
1.0
6.8587 -3.9636 0.0000
6.8587 3.9636 0.0000
0.0000 0.0000 7.5410
Cd In Sb Se
2 4 4 2
Cartesian
6.8587 2.7006 3.7705
6.8587 -2.7006 0.0000
4.5992 1.3492 7.3590
9.1181 1.3492 7.3590
4.5992 -1.3492 3.5885
9.1181 -1.3492 3.5885
4.6295 1.3448 2.6706
9.0878 1.3448 2.6706
4.6295 -1.3448 6.4411
9.0878 -1.3448 6.4411
6.8587 2.6568 6.5300
6.8587 -2.6568 2.7595
```

Peak list (6 most intense, 2θ from 5° to 70°, by intensity)
d_spacing  2θ/deg  intensity
3.962  22.44  100
2.122  42.60  92
2.287  39.39  91
3.507  25.40  67
3.771  23.60  57
1.956  46.43  54

---

Entry 3:
Computed X-ray powder pattern
Compound: Sc4Cd2In3
Radiation: copper Kα
Structure: a DFT-relaxed cell (PBE, Alexandria)

Cell and atoms:
```
Sc4Cd2In3
1.0
4.8024 -2.2783 0.0000
4.8024 2.2783 0.0000
-1.8737 0.0000 9.3403
Sc Cd In
4 2 3
Cartesian
-0.1929 0.0000 1.6176
2.0193 0.0000 5.6699
5.7118 0.0000 3.6704
7.9240 0.0000 7.7228
2.7949 0.0000 2.6915
4.9362 0.0000 6.6489
-0.9368 0.0000 4.6702
1.4009 0.0000 8.8433
6.3301 0.0000 0.4970
```

Peak list (6 most intense, 2θ from 5° to 70°, by intensity)
d_spacing  2θ/deg  intensity
2.587  34.67  100
2.390  37.64  19
2.278  39.56  18
2.086  43.39  13
1.368  68.63  12
1.649  55.75  12